1.
# K2Na2Eu4Nb2O13
Computed X-ray powder pattern, Cu Kα. Input: DFT lattice parameters and positions (GGA-PBE).
Lines closer than 0.1° are merged.

Crystal structure
a = 12.585 Å, b = 12.585 Å, c = 11.376 Å
α = 115.90°, β = 115.90°, γ = 26.34°
Positions (direct):
K 0.204 0.295 0.133
K 0.295 0.204 0.633
K 0.705 0.796 0.367
K 0.796 0.705 0.867
Na 0.307 0.377 0.477
Na 0.377 0.307 0.977
Na 0.623 0.693 0.023
Na 0.693 0.623 0.523
Eu 0.022 0.103 0.947
Eu 0.103 0.022 0.447
Eu 0.405 0.470 0.325
Eu 0.470 0.405 0.825
Eu 0.530 0.595 0.175
Eu 0.595 0.530 0.675
Eu 0.897 0.978 0.553
Eu 0.978 0.897 0.053
Nb 0.120 0.182 0.281
Nb 0.182 0.120 0.781
Nb 0.818 0.880 0.219
Nb 0.880 0.818 0.719
O 0.061 0.679 0.363
O 0.095 0.639 0.125
O 0.128 0.669 0.659
O 0.144 0.593 0.858
O 0.179 0.293 0.376
O 0.250 0.748 0.520
O 0.252 0.750 0.980
O 0.259 0.741 0.250
O 0.293 0.179 0.876
O 0.321 0.939 0.137
O 0.331 0.872 0.841
O 0.361 0.905 0.375
O 0.407 0.856 0.642
O 0.593 0.144 0.358
O 0.639 0.095 0.625
O 0.669 0.128 0.159
O 0.679 0.061 0.863
O 0.707 0.821 0.124
O 0.741 0.259 0.750
O 0.748 0.250 0.020
O 0.750 0.252 0.480
O 0.821 0.707 0.624
O 0.856 0.407 0.142
O 0.872 0.331 0.341
O 0.905 0.361 0.875
O 0.939 0.321 0.637

Main lines, sorted by position (5 to 70 degrees two-theta):
2theta  d/Å  I (rel.)
8.07  10.952  100.0
25.07  3.552  39.7
25.34  3.515  37.0
29.91  2.988  94.7
30.29  2.951  88.8
31.19  2.868  28.8
31.46  2.843  33.9
41.22  2.190  17.9
44.89  2.019  42.9
52.57  1.741  18.2

2.
# Ce2Np2Se7
Computed X-ray powder pattern, Cu Kα. Input: DFT lattice parameters and positions (GGA-PBE).
Lines closer than 0.1° are merged.

Crystal structure
a = 8.903 Å, b = 8.903 Å, c = 8.903 Å
α = 153.14°, β = 68.29°, γ = 118.54°
Positions (direct):
Ce 0.242 0.000 0.242
Ce 0.758 0.000 0.758
Np 0.302 0.802 0.500
Np 0.758 0.758 0.000
Se 0.015 0.698 0.317
Se 0.078 0.078 0.000
Se 0.370 0.478 0.892
Se 0.382 0.698 0.683
Se 0.586 0.478 0.108
Se 0.673 0.308 0.365
Se 0.942 0.308 0.635

Main lines, sorted by position (5 to 70 degrees two-theta):
2theta  d/Å  I (rel.)
22.98  3.871  53.8
23.63  3.764  31.5
24.16  3.684  20.3
26.59  3.352  30.6
29.82  2.996  20.2
34.05  2.633  100.0
34.53  2.597  20.6
38.80  2.321  54.8
41.79  2.161  30.3
43.79  2.067  29.3

3.
# AlInHgCl4
Computed X-ray powder pattern, Cu Kα. Input: DFT lattice parameters and positions (GGA-PBE).
Lines closer than 0.1° are merged.

Crystal structure
a = 8.055 Å, b = 8.055 Å, c = 8.927 Å
α = 102.00°, β = 102.00°, γ = 75.57°
Positions (direct):
Al 0.152 0.152 0.264
Al 0.848 0.848 0.736
In 0.255 0.255 0.868
In 0.745 0.745 0.132
Hg 0.474 0.474 0.191
Hg 0.526 0.526 0.809
Cl 0.001 0.653 0.876
Cl 0.009 0.009 0.703
Cl 0.273 0.273 0.482
Cl 0.347 0.999 0.124
Cl 0.653 0.001 0.876
Cl 0.727 0.727 0.518
Cl 0.991 0.991 0.297
Cl 0.999 0.347 0.124

Main lines, sorted by position (5 to 70 degrees two-theta):
2theta  d/Å  I (rel.)
10.27  8.612  56.5
11.50  7.694  60.9
17.97  4.935  100.0
27.34  3.262  54.3
28.01  3.185  53.3
28.45  3.137  30.3
34.38  2.609  41.6
36.23  2.479  31.6
37.75  2.383  28.5
43.93  2.061  24.6

4.
# Mg2TlHg4
Computed X-ray powder pattern, Cu Kα. Input: DFT lattice parameters and positions (GGA-PBE).
Lines closer than 0.1° are merged.

Crystal structure
a = 16.010 Å, b = 16.010 Å, c = 16.010 Å
α = 12.67°, β = 12.67°, γ = 12.67°
Positions (direct):
Mg 0.099 0.099 0.099
Mg 0.901 0.901 0.901
Tl 0.000 0.000 0.000
Hg 0.191 0.191 0.191
Hg 0.387 0.387 0.387
Hg 0.613 0.613 0.613
Hg 0.809 0.809 0.809

Main lines, sorted by position (5 to 70 degrees two-theta):
2theta  d/Å  I (rel.)
11.14  7.940  20.2
28.10  3.176  15.5
30.68  2.914  100.0
34.84  2.575  66.3
35.93  2.500  24.5
39.73  2.269  17.7
42.35  2.134  23.5
51.73  1.767  32.6
58.73  1.572  16.9
67.14  1.394  24.9

5.
# Li2GaCu3
Computed X-ray powder pattern, Cu Kα. Input: DFT lattice parameters and positions (GGA-PBE).
Lines closer than 0.1° are merged.

Crystal structure
a = 4.931 Å, b = 4.931 Å, c = 4.931 Å
α = 60.72°, β = 60.72°, γ = 60.72°
Positions (direct):
Li 0.124 0.124 0.124
Li 0.876 0.876 0.876
Ga 0.500 0.500 0.500
Cu 0.000 0.500 0.500
Cu 0.500 0.000 0.500
Cu 0.500 0.500 0.000

Main lines, sorted by position (5 to 70 degrees two-theta):
2theta  d/Å  I (rel.)
21.88  4.062  100.0
22.20  4.004  28.6
42.56  2.124  18.7
42.73  2.116  41.8
43.09  2.099  20.5
44.61  2.031  64.6
45.29  2.002  20.5
52.19  1.753  36.6
56.96  1.617  13.9
69.40  1.354  9.1

6.
# Rb2Fe2Br7
Computed X-ray powder pattern, Cu Kα. Input: DFT lattice parameters and positions (GGA-PBE).
Lines closer than 0.1° are merged.

Crystal structure
a = 8.543 Å, b = 8.543 Å, c = 6.903 Å
α = 95.60°, β = 95.60°, γ = 102.71°
Positions (direct):
Rb 0.207 0.793 0.000
Rb 0.793 0.207 0.000
Fe 0.281 0.281 0.570
Fe 0.719 0.719 0.430
Br 0.107 0.405 0.751
Br 0.143 0.143 0.265
Br 0.405 0.107 0.751
Br 0.500 0.500 0.500
Br 0.595 0.893 0.249
Br 0.857 0.857 0.735
Br 0.893 0.595 0.249

Main lines, sorted by position (5 to 70 degrees two-theta):
2theta  d/Å  I (rel.)
17.85  4.970  57.8
18.61  4.769  100.0
19.62  4.526  54.7
24.66  3.611  50.7
26.04  3.422  61.9
26.54  3.358  29.5
27.51  3.243  46.3
28.89  3.091  31.2
33.44  2.680  46.2
48.63  1.872  33.8

7.
# Ac4TmAs5
Computed X-ray powder pattern, Cu Kα. Input: DFT lattice parameters and positions (GGA-PBE).
Lines closer than 0.1° are merged.

Crystal structure
a = 7.726 Å, b = 7.726 Å, c = 7.726 Å
α = 99.69°, β = 99.69°, γ = 131.57°
Positions (direct):
Ac 0.097 0.701 0.798
Ac 0.299 0.097 0.396
Ac 0.701 0.903 0.604
Ac 0.903 0.299 0.202
Tm 0.500 0.500 0.000
As 0.001 0.001 0.000
As 0.214 0.405 0.619
As 0.405 0.786 0.191
As 0.595 0.214 0.809
As 0.786 0.595 0.381

Main lines, sorted by position (5 to 70 degrees two-theta):
2theta  d/Å  I (rel.)
24.42  3.645  60.9
28.16  3.169  50.9
28.32  3.151  100.0
40.37  2.234  78.2
40.49  2.228  38.1
47.85  1.901  22.3
50.04  1.823  41.6
58.59  1.575  12.8
65.99  1.416  18.6
66.29  1.410  35.2

8.
# BaMgUO5
Computed X-ray powder pattern, Cu Kα. Input: DFT lattice parameters and positions (GGA-PBE).
Lines closer than 0.1° are merged.

Crystal structure
a = 6.226 Å, b = 6.226 Å, c = 8.161 Å
α = 105.06°, β = 105.06°, γ = 106.19°
Positions (direct):
Ba 0.171 0.829 0.750
Ba 0.829 0.171 0.250
Mg 0.190 0.810 0.250
Mg 0.810 0.190 0.750
U 0.500 0.500 0.000
U 0.500 0.500 0.500
O 0.152 0.266 0.900
O 0.216 0.609 0.405
O 0.266 0.152 0.400
O 0.391 0.784 0.095
O 0.436 0.564 0.750
O 0.564 0.436 0.250
O 0.609 0.216 0.905
O 0.734 0.848 0.600
O 0.784 0.391 0.595
O 0.848 0.734 0.100

Main lines, sorted by position (5 to 70 degrees two-theta):
2theta  d/Å  I (rel.)
15.88  5.582  71.0
17.82  4.978  19.8
23.72  3.750  100.0
26.44  3.371  56.2
30.01  2.977  69.9
30.21  2.959  49.1
32.59  2.747  29.7
33.64  2.664  25.3
37.89  2.374  23.0
48.95  1.861  22.5

9.
# Pu2Al6Cu3
Computed X-ray powder pattern, Cu Kα. Input: DFT lattice parameters and positions (GGA-PBE).
Lines closer than 0.1° are merged.

Crystal structure
a = 7.624 Å, b = 7.624 Å, c = 4.034 Å
α = 90.00°, β = 90.00°, γ = 120.00°
Positions (direct):
Pu 0.333 0.667 0.000
Pu 0.667 0.333 0.000
Al 0.000 0.306 0.500
Al 0.000 0.801 0.000
Al 0.199 0.199 0.000
Al 0.306 0.000 0.500
Al 0.694 0.694 0.500
Al 0.801 0.000 0.000
Cu 0.000 0.630 0.500
Cu 0.370 0.370 0.500
Cu 0.630 0.000 0.500

Main lines, sorted by position (5 to 70 degrees two-theta):
2theta  d/Å  I (rel.)
13.41  6.602  43.1
23.34  3.812  37.0
32.31  2.771  100.0
35.13  2.555  19.3
35.99  2.495  15.5
41.01  2.201  35.2
42.60  2.122  23.1
53.16  1.723  24.6
62.46  1.487  20.3
69.26  1.357  29.8

10.
# La2Er7Tm4
Computed X-ray powder pattern, Cu Kα. Input: DFT lattice parameters and positions (GGA-PBE).
Lines closer than 0.1° are merged.

Crystal structure
a = 6.030 Å, b = 6.030 Å, c = 13.300 Å
α = 90.00°, β = 90.00°, γ = 120.00°
Positions (direct):
La 0.333 0.667 0.000
La 0.667 0.333 0.000
Er 0.000 0.000 0.000
Er 0.000 0.351 0.217
Er 0.000 0.649 0.783
Er 0.351 0.000 0.217
Er 0.351 0.351 0.783
Er 0.649 0.000 0.783
Er 0.649 0.649 0.217
Tm 0.000 0.000 0.396
Tm 0.000 0.000 0.604
Tm 0.333 0.667 0.500
Tm 0.667 0.333 0.500

Main lines, sorted by position (5 to 70 degrees two-theta):
2theta  d/Å  I (rel.)
26.81  3.325  20.3
29.63  3.015  13.5
30.40  2.940  49.7
32.61  2.746  100.0
33.69  2.660  13.7
36.03  2.493  31.2
51.15  1.786  18.9
52.58  1.741  30.5
63.25  1.470  14.5
63.93  1.456  25.7